This entry pairs a crystal structure of Pr3SnPt with its computed X-ray powder pattern. Radiation: Cu Kα. Structure: the GGA-PBE geometry in Alexandria.

Top 6 peaks for 10° ≤ 2θ ≤ 90°, most intense first:
32.8 deg, d = 2.733 Å, rel. 100
30.7 deg, d = 2.908 Å, rel. 98
33.1 deg, d = 2.708 Å, rel. 84
36.6 deg, d = 2.457 Å, rel. 68
24.1 deg, d = 3.697 Å, rel. 64
32.9 deg, d = 2.719 Å, rel. 43

Atomic structure:
```
Pr3SnPt
1.0
6.672 -5.743 0.000
6.672 5.743 0.000
0.000 0.000 8.157
Pr Sn Pt
12 4 4
Cartesian
4.754 3.868 3.326
6.672 4.917 6.550
4.754 1.874 7.404
8.589 3.868 3.326
6.672 0.825 2.472
8.589 1.874 7.404
4.754 -1.874 0.753
6.672 -0.825 5.684
4.754 -3.868 4.831
8.589 -1.874 0.753
6.672 -4.917 1.606
8.589 -3.868 4.831
3.336 0.977 2.039
3.336 -0.977 6.117
10.008 0.977 2.039
10.008 -0.977 6.117
6.672 3.529 0.997
6.672 2.214 5.075
6.672 -2.214 3.081
6.672 -3.529 7.160
```